# 1
This entry pairs a crystal structure of Eu2Ti12Cu9O36 with its computed XRD peak list. Radiation: Cu Kα, 1.54184 Å. Structure: a DFT-relaxed cell (GGA-PBE, Alexandria).
No peak broadening, texture or thermal motion is included.

Most intense lines, 2θ = 10–90°, in order of falling intensity:
- 2θ = 34.01°, intensity 100
- 2θ = 60.89°, intensity 36
- 2θ = 48.86°, intensity 27
- 2θ = 60.76°, intensity 12
- 2θ = 38.17°, intensity 9
- 2θ = 81.62°, intensity 8
- 2θ = 81.72°, intensity 8
- 2θ = 42.00°, intensity 7
- 2θ = 23.87°, intensity 7
- 2θ = 71.51°, intensity 6
- 2θ = 71.66°, intensity 6
- 2θ = 16.81°, intensity 6

Atomic structure:
Cell: 10.5359 10.5359 6.4688 Å, 90.00 90.00 120.00°
Fractional positions:
Eu (0.3333, 0.6667, 0.3284)
Eu (0.6667, 0.3333, 0.6716)
Ti (0.0000, 0.0000, 0.5000)
Ti (0.0000, 0.5000, 0.5000)
Ti (0.1583, 0.3178, 0.1634)
Ti (0.1595, 0.8417, 0.1634)
Ti (0.3178, 0.1595, 0.8366)
Ti (0.3333, 0.6667, 0.8378)
Ti (0.5000, 0.0000, 0.5000)
Ti (0.5000, 0.5000, 0.5000)
Ti (0.6667, 0.3333, 0.1622)
Ti (0.6822, 0.8405, 0.1634)
Ti (0.8405, 0.1583, 0.8366)
Ti (0.8417, 0.6822, 0.8366)
Cu (0.0000, 0.5000, 0.0000)
Cu (0.1678, 0.8315, 0.6619)
Cu (0.1685, 0.3363, 0.6619)
Cu (0.3363, 0.1678, 0.3381)
Cu (0.5000, 0.0000, 0.0000)
Cu (0.5000, 0.5000, 0.0000)
Cu (0.6637, 0.8322, 0.6619)
Cu (0.8315, 0.6637, 0.3381)
Cu (0.8322, 0.1685, 0.3381)
O (0.0167, 0.1643, 0.3299)
O (0.0448, 0.2685, 0.9112)
O (0.0717, 0.4474, 0.2468)
O (0.1150, 0.7078, 0.4129)
O (0.1476, 0.9833, 0.3299)
O (0.1643, 0.1476, 0.6701)
O (0.1746, 0.5252, 0.6482)
O (0.1893, 0.6816, 0.0108)
O (0.2237, 0.9552, 0.9112)
O (0.2685, 0.2237, 0.0888)
O (0.2922, 0.4072, 0.4129)
O (0.3184, 0.5077, 0.0108)
O (0.3507, 0.8254, 0.6482)
O (0.3758, 0.9283, 0.2468)
O (0.4072, 0.1150, 0.5871)
O (0.4474, 0.3758, 0.7532)
O (0.4748, 0.6493, 0.6482)
O (0.4923, 0.8107, 0.0108)
O (0.5077, 0.1893, 0.9892)
O (0.5252, 0.3507, 0.3518)
O (0.5526, 0.6242, 0.2468)
O (0.5928, 0.8850, 0.4129)
O (0.6242, 0.0717, 0.7532)
O (0.6493, 0.1746, 0.3518)
O (0.6816, 0.4923, 0.9892)
O (0.7078, 0.5928, 0.5871)
O (0.7315, 0.7763, 0.9112)
O (0.7763, 0.0448, 0.0888)
O (0.8107, 0.3184, 0.9892)
O (0.8254, 0.4748, 0.3518)
O (0.8357, 0.8524, 0.3299)
O (0.8524, 0.0167, 0.6701)
O (0.8850, 0.2922, 0.5871)
O (0.9283, 0.5526, 0.7532)
O (0.9552, 0.7315, 0.0888)
O (0.9833, 0.8357, 0.6701)

=====

# 2
This entry pairs a crystal structure of NaH6N with its computed XRD peak list. Radiation: Cu Kα, 1.54184 Å. Structure: a DFT-relaxed cell (GGA-PBE, Alexandria).
No peak broadening, texture or thermal motion is included.

Most intense lines, 2θ = 10–90°, in order of falling intensity:
- 2θ = 31.92°, intensity 100
- 2θ = 40.36°, intensity 75
- 2θ = 50.72°, intensity 29
- 2θ = 68.11°, intensity 20
- 2θ = 42.29°, intensity 16
- 2θ = 61.19°, intensity 14
- 2θ = 29.49°, intensity 12
- 2θ = 65.49°, intensity 12
- 2θ = 83.39°, intensity 11
- 2θ = 66.72°, intensity 9
- 2θ = 88.38°, intensity 8
- 2θ = 45.82°, intensity 8

Atomic structure:
Cell: 4.7525 4.7525 4.7525 Å, 44.51 44.51 44.51°
Fractional positions:
Na (0.0000, 0.0000, 0.0000)
H (0.0005, 0.6754, 0.6754)
H (0.3246, 0.3246, 0.9995)
H (0.3246, 0.9995, 0.3246)
H (0.6754, 0.0005, 0.6754)
H (0.6754, 0.6754, 0.0005)
H (0.9995, 0.3246, 0.3246)
N (0.5000, 0.5000, 0.5000)

=====

# 3
This entry pairs a crystal structure of Tb5Ho12Th2 with its computed XRD peak list. Radiation: Cu Kα, 1.54184 Å. Structure: a DFT-relaxed cell (GGA-PBE, Alexandria).
No peak broadening, texture or thermal motion is included.

Most intense lines, 2θ = 10–90°, in order of falling intensity:
- 2θ = 31.81°, intensity 100
- 2θ = 33.23°, intensity 44
- 2θ = 30.34°, intensity 40
- 2θ = 31.18°, intensity 33
- 2θ = 35.45°, intensity 33
- 2θ = 58.45°, intensity 29
- 2θ = 55.69°, intensity 24
- 2θ = 59.34°, intensity 23
- 2θ = 32.07°, intensity 19
- 2θ = 36.04°, intensity 19
- 2θ = 29.24°, intensity 16
- 2θ = 29.97°, intensity 15

Atomic structure:
Cell: 9.0508 9.0508 8.5364 Å, 91.78 91.78 62.17°
Fractional positions:
Tb (0.0000, 0.0000, 0.0000)
Tb (0.2316, 0.2316, 0.0726)
Tb (0.3000, 0.3000, 0.4798)
Tb (0.7000, 0.7000, 0.5202)
Tb (0.7684, 0.7684, 0.9274)
Ho (0.0280, 0.6711, 0.2581)
Ho (0.0792, 0.0792, 0.3785)
Ho (0.1798, 0.5627, 0.8359)
Ho (0.3289, 0.9720, 0.7419)
Ho (0.4373, 0.8202, 0.1641)
Ho (0.4425, 0.4425, 0.1709)
Ho (0.5575, 0.5575, 0.8291)
Ho (0.5627, 0.1798, 0.8359)
Ho (0.6711, 0.0280, 0.2581)
Ho (0.8202, 0.4373, 0.1641)
Ho (0.9208, 0.9208, 0.6215)
Ho (0.9720, 0.3289, 0.7419)
Th (0.3251, 0.6749, 0.5000)
Th (0.6749, 0.3251, 0.5000)

=====

# 4
This entry pairs a crystal structure of RbGd2CuS4 with its computed XRD peak list. Radiation: Cu Kα, 1.54184 Å. Structure: a DFT-relaxed cell (GGA-PBE, Alexandria).
No peak broadening, texture or thermal motion is included.

Most intense lines, 2θ = 10–90°, in order of falling intensity:
- 2θ = 32.16°, intensity 100
- 2θ = 23.10°, intensity 89
- 2θ = 44.17°, intensity 77
- 2θ = 30.11°, intensity 76
- 2θ = 26.41°, intensity 59
- 2θ = 25.59°, intensity 44
- 2θ = 14.24°, intensity 44
- 2θ = 34.83°, intensity 41
- 2θ = 45.08°, intensity 32
- 2θ = 40.04°, intensity 31
- 2θ = 43.64°, intensity 25
- 2θ = 52.57°, intensity 24

Atomic structure:
Cell: 7.2479 7.2479 13.8562 Å, 90.00 90.00 147.78°
Fractional positions:
Rb (0.1065, 0.8935, 0.7500)
Rb (0.8935, 0.1065, 0.2500)
Gd (0.3659, 0.6341, 0.5612)
Gd (0.3659, 0.6341, 0.9388)
Gd (0.6341, 0.3659, 0.0612)
Gd (0.6341, 0.3659, 0.4388)
Cu (0.1652, 0.8348, 0.2500)
Cu (0.8348, 0.1652, 0.7500)
S (0.0000, 0.0000, 0.0000)
S (0.0000, 0.0000, 0.5000)
S (0.2591, 0.7409, 0.1097)
S (0.2591, 0.7409, 0.3903)
S (0.4235, 0.5765, 0.7500)
S (0.5765, 0.4235, 0.2500)
S (0.7409, 0.2591, 0.6097)
S (0.7409, 0.2591, 0.8903)